Starting from a crystal structure in the Materials Project, relaxed with PBE, the powder diffractogram of Tb3Si2Cl5O6 was simulated for λ = 1.5418 Å (Cu Kα).
Neutral-atom scattering factors, no anomalous dispersion.

Peak list (10 most intense, 2θ from 15° to 90°, by angle)
2θ 16.95, rel. 100, (0 2 0)
2θ 17.04, rel. 23, (2 0 0)
2θ 23.28, rel. 30, (0 0 3)
2θ 24.11, rel. 33, (2 2 -1)
2θ 25.59, rel. 26, (2 0 -3)
2θ 32.05, rel. 31, (2 0 3)
2θ 34.25, rel. 23, (0 4 0)
2θ 36.46, rel. 24, (2 2 -4)
2θ 38.49, rel. 26, (2 4 0)
2θ 44.86, rel. 27, (4 2 2)

Crystal structure
Lattice parameters (Å, degrees): 10.6911 10.4721 11.7736 90.00 103.18 90.00
Space group C2/m (No. 12)
Inequivalent atoms, fractional coordinates:
Tb (0.1671, 0.2489, 0.1696) x8
Tb (0.2500, 0.2500, 0.5000) x4
Si (0.0361, 0.1459, 0.6441) x8
Cl (0.1056, 0.2219, 0.9209) x8
Cl (0.1192, 0.5000, 0.1460) x4
Cl (0.1859, 0.5000, 0.4982) x4
Cl (0.2193, 0.0000, 0.1613) x4
O (0.0000, 0.1439, 0.5000) x4
O (0.0476, 0.0000, 0.6934) x4
O (0.0878, 0.2190, 0.3281) x8
O (0.1745, 0.2181, 0.6720) x8